1.
Starting from DFT lattice parameters and positions (PBE), the powder X-ray diffraction pattern of LaNdBi4Ir2 was computed for copper Kα.
Lines closer than 0.1° are merged.

Largest 10 diffraction maxima, sorted by position, 15° ≤ 2θ ≤ 90°:
2θ (°)	d/Å	Rel. int.
26.36	3.381	9
26.91	3.313	8
32.85	2.727	100
38.74	2.324	10
39.06	2.306	44
45.92	1.976	15
54.27	1.690	10
56.42	1.631	15
66.85	1.400	27
83.16	1.162	8

Structural model:
abc: 4.6124 4.6124 9.9386
angles: 90.00 90.00 90.00
Positions (direct):
La 0.0000 0.0000 0.0000
Nd 0.5000 0.5000 0.5432
Bi 0.0000 0.0000 0.6040
Bi 0.0000 0.5000 0.2745
Bi 0.5000 0.0000 0.2745
Bi 0.5000 0.5000 0.9329
Ir 0.0000 0.5000 0.7697
Ir 0.5000 0.0000 0.7697

***

2.
Starting from DFT lattice parameters and positions (PBE), the powder X-ray diffraction pattern of PrHoGe2Ir was computed for copper Kα.
Lines closer than 0.1° are merged.

Largest 10 diffraction maxima, sorted by position, 15° ≤ 2θ ≤ 90°:
2θ (°)	d/Å	Rel. int.
26.57	3.355	22
32.21	2.779	74
33.04	2.711	100
33.56	2.670	28
36.25	2.478	41
38.53	2.337	28
39.61	2.275	71
39.96	2.256	24
41.33	2.184	56
64.59	1.443	23

Structural model:
abc: 5.7801 5.7801 10.4826
angles: 114.79 114.79 44.41
Positions (direct):
Pr 0.1932 0.1932 0.1181
Pr 0.8068 0.8068 0.8819
Ho 0.0115 0.0115 0.3342
Ho 0.9885 0.9885 0.6658
Ge 0.3537 0.3537 0.4490
Ge 0.4861 0.4861 0.1223
Ge 0.5139 0.5139 0.8777
Ge 0.6463 0.6463 0.5510
Ir 0.2681 0.2681 0.6566
Ir 0.7319 0.7319 0.3434

***

3.
Starting from DFT lattice parameters and positions (PBE), the powder X-ray diffraction pattern of TaB2Ir was computed for copper Kα.
Lines closer than 0.1° are merged.

Largest 7 diffraction maxima, sorted by position, 15° ≤ 2θ ≤ 90°:
2θ (°)	d/Å	Rel. int.
26.32	3.386	100
43.66	2.073	94
51.70	1.768	50
63.45	1.466	16
69.93	1.345	20
80.19	1.197	32
86.18	1.129	16

Structural model:
abc: 5.8640 5.8640 5.8640
angles: 90.00 90.00 90.00
Positions (direct):
Ta 0.0000 0.0000 0.0000
Ta 0.0000 0.5000 0.5000
Ta 0.5000 0.0000 0.5000
Ta 0.5000 0.5000 0.0000
B 0.0000 0.0000 0.5000
B 0.0000 0.5000 0.0000
B 0.2500 0.2500 0.7500
B 0.2500 0.7500 0.2500
B 0.5000 0.0000 0.0000
B 0.5000 0.5000 0.5000
B 0.7500 0.2500 0.2500
B 0.7500 0.7500 0.7500
Ir 0.2500 0.2500 0.2500
Ir 0.2500 0.7500 0.7500
Ir 0.7500 0.2500 0.7500
Ir 0.7500 0.7500 0.2500

***

4.
Starting from DFT lattice parameters and positions (PBE), the powder X-ray diffraction pattern of NaTl4Os was computed for copper Kα.
Lines closer than 0.1° are merged.

Largest 10 diffraction maxima, sorted by position, 15° ≤ 2θ ≤ 90°:
2θ (°)	d/Å	Rel. int.
21.36	4.160	16
25.63	3.476	75
36.23	2.479	76
36.88	2.437	100
45.45	1.996	17
46.07	1.970	19
50.24	1.816	23
52.66	1.738	27
66.02	1.415	27
66.44	1.407	20

Structural model:
abc: 8.6394 8.6394 8.6394
angles: 32.77 32.77 32.77
Positions (direct):
Na 0.0000 0.0000 0.0000
Tl 0.1372 0.1372 0.1372
Tl 0.3875 0.3875 0.3875
Tl 0.6125 0.6125 0.6125
Tl 0.8628 0.8628 0.8628
Os 0.5000 0.5000 0.5000

***

5.
Starting from DFT lattice parameters and positions (PBE), the powder X-ray diffraction pattern of PrZnGa was computed for copper Kα.
Lines closer than 0.1° are merged.

Largest 10 diffraction maxima, sorted by position, 15° ≤ 2θ ≤ 90°:
2θ (°)	d/Å	Rel. int.
22.65	3.925	13
32.72	2.737	26
32.92	2.720	100
33.32	2.689	41
37.63	2.390	15
39.44	2.285	32
40.44	2.230	48
52.56	1.741	22
64.42	1.446	15
67.42	1.389	12

Structural model:
abc: 7.5478 4.5698 7.6661
angles: 90.00 90.00 90.00
Positions (direct):
Pr 0.0020 0.2500 0.2157
Pr 0.4980 0.7500 0.7157
Pr 0.5020 0.2500 0.2843
Pr 0.9980 0.7500 0.7843
Zn 0.1944 0.7500 0.4159
Zn 0.3056 0.2500 0.9159
Zn 0.6944 0.7500 0.0841
Zn 0.8056 0.2500 0.5841
Ga 0.2035 0.2500 0.5891
Ga 0.2965 0.7500 0.0891
Ga 0.7035 0.2500 0.9109
Ga 0.7965 0.7500 0.4109